The following is a simulated XRD peak list of K2Na3IrF12. It was derived from a cell relaxed with PBE, using a wavelength of 1.5418 Å.
Peak positions follow from Bragg's law for the DFT cell and can differ from measured ones.

Structure:
a = 7.5413 Å, b = 7.5413 Å, c = 20.6323 Å
α = 90.00°, β = 90.00°, γ = 120.00°
Space group R-3m (No. 166, hexagonal axes)
Inequivalent atoms, fractional coordinates:
K 0.0000 0.0000 0.0921
Na 0.0000 0.5000 0.0000
Ir 0.0000 0.0000 0.5000
F 0.0272 0.5136 0.3736
F 0.0936 0.5468 0.1142

Top 12 peaks for 2θ from 5° to 70°, by intensity:
16.06°, 5.518 Å, I 100, (0 1 2)
14.22°, 6.226 Å, I 90, (1 0 1)
26.97°, 3.306 Å, I 72, (1 1 3)
25.53°, 3.488 Å, I 65, (0 1 5)
28.67°, 3.113 Å, I 48, (2 0 2)
23.60°, 3.771 Å, I 31, (1 1 0)
21.96°, 4.048 Å, I 30, (1 0 4)
44.78°, 2.024 Å, I 26, (2 0 8)
48.27°, 1.885 Å, I 25, (2 2 0)
48.08°, 1.892 Å, I 24, (2 1 7)
42.68°, 2.118 Å, I 20, (1 2 5)
55.40°, 1.659 Å, I 20, (3 1 5)